Starting from DFT lattice parameters and positions (GGA-PBE), the X-ray diffraction stick pattern of Sc5Au3 was calculated for Cu Kα (weighted mean of Kα1 and Kα2).
Neutral-atom scattering factors, no anomalous dispersion.

Largest 8 diffraction maxima, by intensity, 2θ from 10° to 90°:
| Position (°2θ) | Rel. int. |
| --- | --- |
| 36.48 | 100 |
| 23.29 | 60 |
| 22.76 | 59 |
| 25.64 | 51 |
| 36.31 | 48 |
| 26.21 | 46 |
| 43.84 | 40 |
| 50.36 | 36 |

Cell and atoms:
Cell: 8.347 8.347 7.815 Å, 95.14 95.14 139.33°
Positions (direct):
Sc 0.035 0.666 0.796
Sc 0.194 0.401 0.630
Sc 0.255 0.255 0.012
Sc 0.334 0.965 0.204
Sc 0.401 0.194 0.630
Sc 0.599 0.806 0.370
Sc 0.666 0.035 0.796
Sc 0.745 0.745 0.988
Sc 0.806 0.599 0.370
Sc 0.965 0.334 0.204
Au 0.113 0.113 0.321
Au 0.251 0.749 0.500
Au 0.341 0.659 0.000
Au 0.659 0.341 0.000
Au 0.749 0.251 0.500
Au 0.887 0.887 0.679